Theoretical X-ray powder pattern of Ba3Er2Cu2PtS10 for a wavelength of 1.5418 Å, from the PBE geometry in OQMD.

Crystal structure
```
Ba3Er2Cu2PtS10
1.0
7.4132 -3.3656 0.0000
7.4132 3.3656 0.0000
-2.6827 0.0000 8.3735
Ba Er Cu Pt S
3 2 2 1 10
Cartesian
0.0000 0.0000 0.0000
0.7982 0.0000 4.7077
11.3454 0.0000 3.6658
4.4480 0.0000 1.0976
7.6956 0.0000 7.2759
3.9433 0.0000 6.5059
8.2004 0.0000 1.8675
6.0718 0.0000 4.1867
2.3888 1.5499 7.3132
6.3820 1.5744 2.3972
5.7617 1.5744 5.9763
3.7018 0.0000 3.7993
9.7549 1.5499 1.0603
2.3888 -1.5499 7.3132
8.4419 0.0000 4.5742
6.3820 -1.5744 2.3972
5.7617 -1.5744 5.9763
9.7549 -1.5499 1.0603
```

Main lines, low angle first (2θ = 10–80°):
- d 6.076, rel. 29
- d 3.893, rel. 55
- d 3.681, rel. 52
- d 3.366, rel. 48
- d 3.211, rel. 100
- d 2.353, rel. 26

Theoretical X-ray powder pattern of Ba2Cu5F14 for a wavelength of 1.5418 Å, from the PBE geometry in OQMD.

Crystal structure
```
Ba2Cu5F14
1.0
8.9562 -3.2887 0.0000
8.9562 3.2887 0.0000
-4.6339 0.0000 9.0136
Ba Cu F
4 10 28
Cartesian
2.3106 0.7803 1.1107
-0.0063 -0.7803 5.6175
13.2849 0.7803 3.3961
10.9679 -0.7803 7.9029
5.4808 2.3838 6.7602
3.3680 0.7480 4.5307
6.6583 0.8819 3.2414
8.9372 0.8819 1.2654
5.6850 -0.7480 0.0239
7.5936 0.7480 8.9897
4.3414 -0.8819 7.7482
6.6203 -0.8819 5.7722
9.9105 -0.7480 4.4829
7.7978 -2.3838 2.2534
4.1399 2.2737 5.4115
6.7551 2.7791 3.2266
8.8405 2.7791 1.2802
1.9518 0.8963 5.8028
0.1639 0.5990 8.0320
4.7692 0.9329 3.2411
6.8217 2.2737 8.1089
7.0054 0.8238 0.9958
4.3326 1.0407 7.8242
2.4809 -0.5990 3.5252
6.6290 1.0407 5.6962
4.2688 -0.8963 1.2960
8.5901 0.8238 3.5110
10.8263 0.9329 1.2657
2.4522 -0.9329 7.7479
4.6884 -0.8238 5.5026
9.0098 0.8963 7.7176
6.6496 -1.0407 3.3174
10.7977 0.5990 5.4884
8.9460 -1.0407 1.1894
6.2732 -0.8238 8.0178
6.4568 -2.2737 0.9047
8.5094 -0.9329 5.7725
13.1146 -0.5990 0.9816
11.3267 -0.8963 3.2108
4.4381 -2.7791 7.7334
6.5235 -2.7791 5.7870
9.1387 -2.2737 3.6021
```

Main lines, low angle first (2θ = 10–80°):
- d 3.326, rel. 100
- d 3.090, rel. 71
- d 3.053, rel. 95
- d 2.739, rel. 67
- d 2.363, rel. 56
- d 2.275, rel. 59

Theoretical X-ray powder pattern of Ba2Cu2SeSF2 for a wavelength of 1.5418 Å, from the PBE geometry in OQMD.

Crystal structure
```
Ba2Cu2SeSF2
1.0
4.1409 0.0000 0.0000
0.0000 4.1409 0.0000
0.0000 0.0000 9.0798
Ba Cu Se S F
2 2 1 1 2
Cartesian
0.0000 0.0000 0.0000
2.0704 2.0704 3.2143
0.0000 2.0704 6.2513
2.0704 0.0000 6.2513
0.0000 0.0000 4.7944
2.0704 2.0704 7.5069
0.0000 2.0704 1.6045
2.0704 0.0000 1.6045
```

Main lines, low angle first (2θ = 10–80°):
- d 3.768, rel. 36
- d 3.059, rel. 100
- d 2.461, rel. 77
- d 2.070, rel. 49
- d 1.990, rel. 29
- d 1.715, rel. 35

Theoretical X-ray powder pattern of Ba2Cu2TeSF2 for a wavelength of 1.5418 Å, from the PBE geometry in OQMD.

Crystal structure
```
Ba2Cu2TeSF2
1.0
4.2328 0.0000 0.0000
0.0000 4.2328 0.0000
0.0000 0.0000 9.2849
Ba Cu Te S F
2 2 1 1 2
Cartesian
0.0000 0.0000 0.0000
2.1164 2.1164 3.1535
0.0000 2.1164 6.5271
2.1164 0.0000 6.5271
0.0000 0.0000 4.9265
2.1164 2.1164 7.7827
0.0000 2.1164 1.5871
2.1164 0.0000 1.5871
```

Main lines, low angle first (2θ = 10–80°):
- d 3.128, rel. 100
- d 2.516, rel. 56
- d 2.116, rel. 42
- d 2.035, rel. 22
- d 1.834, rel. 22
- d 1.753, rel. 36

Theoretical X-ray powder pattern of BaCu2Te2F2 for a wavelength of 1.5418 Å, from the PBE geometry in OQMD.

Crystal structure
```
BaCu2Te2F2
1.0
3.6929 0.0000 0.0000
0.0000 3.6929 0.0000
0.0000 0.0000 10.7720
Ba Cu Te F
1 2 2 2
Cartesian
0.0000 0.0000 0.0000
0.0000 1.8465 4.1562
1.8465 0.0000 6.6159
0.0000 1.8465 7.9578
1.8465 0.0000 2.8142
0.0000 0.0000 5.3860
1.8465 1.8465 5.3860
```

Main lines, low angle first (2θ = 10–80°):
- d 3.493, rel. 65
- d 3.046, rel. 30
- d 2.574, rel. 100
- d 2.350, rel. 83
- d 1.846, rel. 39
- d 1.500, rel. 36

Theoretical X-ray powder pattern of Ba2CuTe2F2 for a wavelength of 1.5418 Å, from the PBE geometry in OQMD.

Crystal structure
```
Ba2CuTe2F2
1.0
4.4725 0.0000 0.0000
0.0000 4.4725 0.0000
0.0000 0.0000 8.9138
Ba Cu Te F
2 1 2 2
Cartesian
0.0000 2.2362 1.4760
2.2362 0.0000 7.4378
0.0000 0.0000 4.4569
0.0000 2.2362 5.7537
2.2362 0.0000 3.1601
0.0000 0.0000 0.0000
2.2362 2.2362 0.0000
```

Main lines, low angle first (2θ = 10–80°):
- d 3.158, rel. 100
- d 2.579, rel. 17
- d 2.236, rel. 24
- d 1.995, rel. 11
- d 1.824, rel. 44
- d 1.414, rel. 11

Theoretical X-ray powder pattern of BaGaCu3S4 for a wavelength of 1.5418 Å, from the PBE geometry in OQMD.

Crystal structure
```
BaGaCu3S4
1.0
6.3427 0.0000 0.0000
-3.1713 5.4929 0.0000
0.0000 0.0000 15.6546
Ba Ga Cu S
3 3 9 12
Cartesian
-1.7143 2.9692 5.2182
1.4571 2.5237 0.0000
3.4285 0.0000 10.4364
-2.2790 3.9473 13.0455
0.8924 1.5456 7.8273
4.5579 0.0000 2.6091
-0.6632 1.1487 13.0455
-1.5389 3.3933 1.2854
1.3264 0.0000 2.6091
1.0021 2.4636 11.7218
1.6325 2.0997 3.9327
0.5367 5.1290 6.5036
3.7081 0.3639 14.3691
2.5081 4.3442 7.8273
4.1735 3.0293 9.1509
-1.3354 2.7398 11.3104
-0.3089 1.7921 2.5816
-1.4649 4.8643 7.7998
1.7065 0.6286 13.0729
-0.1309 5.2795 0.8740
3.0405 0.2134 4.3442
1.4663 2.9665 6.0922
1.8359 2.7531 9.5624
1.7737 4.3294 13.0180
2.8625 3.7008 2.6366
4.9451 1.1635 7.8547
4.6376 2.5264 14.7806
```

Main lines, low angle first (2θ = 10–80°):
- d 3.783, rel. 85
- d 3.187, rel. 100
- d 3.171, rel. 74
- d 2.430, rel. 81
- d 2.248, rel. 44
- d 1.730, rel. 46

Theoretical X-ray powder pattern of Ba4Cu3Ge20 for a wavelength of 1.5418 Å, from the PBE geometry in OQMD.

Crystal structure
```
Ba4Cu3Ge20
1.0
10.7764 0.0000 0.0000
0.0000 10.7764 0.0000
0.0000 0.0000 10.7764
Ba Cu Ge
8 6 40
Cartesian
0.0000 0.0000 0.0000
0.0000 2.6941 5.3882
0.0000 8.0823 5.3882
2.6941 5.3882 0.0000
5.3882 0.0000 2.6941
5.3882 0.0000 8.0823
5.3882 5.3882 5.3882
8.0823 5.3882 0.0000
0.0000 5.3882 2.6941
0.0000 5.3882 8.0823
2.6941 0.0000 5.3882
5.3882 2.6941 0.0000
5.3882 8.0823 0.0000
8.0823 0.0000 5.3882
0.0000 3.4137 1.2874
0.0000 3.4137 9.4891
0.0000 7.3627 1.2874
0.0000 7.3627 9.4891
1.2874 0.0000 3.4137
1.2874 0.0000 7.3627
1.9717 1.9717 1.9717
1.9717 1.9717 8.8048
1.9745 5.3882 4.1008
1.9745 5.3882 6.6756
1.9717 8.8048 1.9717
1.9717 8.8048 8.8048
3.4137 1.2874 0.0000
3.4166 3.4166 3.4166
3.4166 3.4166 7.3599
3.4166 7.3599 3.4166
3.4166 7.3599 7.3599
3.4137 9.4891 0.0000
4.1008 1.9745 5.3882
4.1008 8.8019 5.3882
5.3882 4.1008 1.9745
5.3882 4.1008 8.8019
5.3882 6.6756 1.9745
5.3882 6.6756 8.8019
6.6756 1.9745 5.3882
6.6756 8.8019 5.3882
7.3627 1.2874 0.0000
7.3599 3.4166 3.4166
7.3599 3.4166 7.3599
7.3599 7.3599 3.4166
7.3599 7.3599 7.3599
7.3627 9.4891 0.0000
8.8048 1.9717 1.9717
8.8048 1.9717 8.8048
8.8019 5.3882 4.1008
8.8019 5.3882 6.6756
8.8048 8.8048 1.9717
8.8048 8.8048 8.8048
9.4891 0.0000 3.4137
9.4891 0.0000 7.3627
```

Main lines, low angle first (2θ = 10–80°):
- d 3.111, rel. 25
- d 2.989, rel. 39
- d 2.880, rel. 100
- d 1.848, rel. 33
- d 1.796, rel. 23
- d 1.748, rel. 42

Theoretical X-ray powder pattern of Ba2CuSi2Ge for a wavelength of 1.5418 Å, from the PBE geometry in OQMD.

Crystal structure
```
Ba2CuSi2Ge
1.0
0.0000 5.0156 7.3435
4.2448 0.0000 7.3435
4.2448 5.0156 0.0000
Ba Cu Si Ge
4 2 4 2
Cartesian
4.2448 2.4431 7.3435
2.1224 2.5078 3.6717
6.3672 7.5235 11.0152
4.2448 7.5882 7.3435
4.2448 5.0156 4.9586
4.2448 5.0156 9.7283
6.3201 5.0156 6.1439
6.3201 5.0156 8.5430
2.1695 5.0156 6.1439
2.1695 5.0156 8.5430
4.2448 5.0156 2.4396
4.2448 5.0156 12.2474
```

Main lines, low angle first (2θ = 10–80°):
- d 2.964, rel. 100
- d 2.508, rel. 17
- d 2.121, rel. 31
- d 1.725, rel. 20
- d 1.620, rel. 26
- d 1.338, rel. 17

Theoretical X-ray powder pattern of BaSrCuSi2Ge for a wavelength of 1.5418 Å, from the PBE geometry in OQMD.

Crystal structure
```
BaSrCuSi2Ge
1.0
0.0000 4.8395 7.2377
4.2156 0.0000 7.2377
4.2156 4.8395 0.0000
Ba Sr Cu Si Ge
2 2 2 4 2
Cartesian
4.2156 2.3600 7.2377
4.2156 7.3189 7.2377
2.1078 2.4197 3.6188
6.3234 7.2592 10.8565
4.2156 4.8395 4.8552
4.2156 4.8395 9.6201
6.2736 4.8395 6.0290
6.2736 4.8395 8.4463
2.1576 4.8395 6.0290
2.1576 4.8395 8.4463
4.2156 4.8395 2.4417
4.2156 4.8395 12.0336
```

Main lines, low angle first (2θ = 10–80°):
- d 2.910, rel. 100
- d 2.898, rel. 49
- d 2.420, rel. 26
- d 2.094, rel. 33
- d 1.705, rel. 20
- d 1.583, rel. 27

Theoretical X-ray powder pattern of BaSrCuGe3 for a wavelength of 1.5418 Å, from the PBE geometry in OQMD.

Crystal structure
```
BaSrCuGe3
1.0
0.0000 4.7958 7.4778
4.2884 0.0000 7.4778
4.2884 4.7958 0.0000
Ba Sr Cu Ge
2 2 2 6
Cartesian
2.1442 2.3979 3.7389
6.4326 7.1937 11.2167
4.2884 2.3208 7.4778
4.2884 7.2709 7.4778
4.2884 4.7958 5.0063
4.2884 4.7958 9.9492
4.2884 4.7958 2.5075
6.3650 4.7958 6.2316
6.3650 4.7958 8.7240
2.2118 4.7958 6.2316
2.2118 4.7958 8.7240
4.2884 4.7958 12.4481
```

Main lines, low angle first (2θ = 10–80°):
- d 2.943, rel. 100
- d 2.398, rel. 18
- d 2.155, rel. 27
- d 2.144, rel. 13
- d 1.734, rel. 14
- d 1.603, rel. 21